Entry 1:
The following is a theoretical powder diffractogram of Mn3B7IO13. It was derived from a GGA+U-relaxed structure, using a wavelength of 1.5418 Å.
Kinematic intensities with the Lorentz-polarization factor, no thermal factor.

Crystal structure
```
data_Mn3B7IO13
_cell_length_a 12.4441
_cell_length_b 12.4441
_cell_length_c 12.4441
_cell_angle_alpha 90.00
_cell_angle_beta 90.00
_cell_angle_gamma 90.00
_space_group_name_H-M_alt 'F -4 3 c'
_space_group_IT_number 219
_space_group_name_Hall 'F -4a 2 3'
loop_
_atom_site_label
_atom_site_type_symbol
_atom_site_fract_x
_atom_site_fract_y
_atom_site_fract_z
_atom_site_occupancy
Mn1 Mn 0.0000 0.0000 0.2500 1
B1 B 0.0000 0.2500 0.2500 1
B2 B 0.1704 0.1704 0.1704 1
I1 I 0.0000 0.0000 0.0000 1
O1 O 0.0700 0.1566 0.2272 1
O2 O 0.2500 0.2500 0.2500 1
```

Most intense lines, 15° ≤ 2θ ≤ 90°, low angle first:
- d = 3.111 Å, 28.70°, I = 100, (4 0 0)
- d = 2.783 Å, 32.17°, I = 100, (4 2 0)
- d = 2.200 Å, 41.03°, I = 64, (4 4 0)
- d = 2.074 Å, 43.64°, I = 26, (6 0 0)
- d = 1.796 Å, 50.83°, I = 30, (4 4 4)
- d = 1.509 Å, 61.44°, I = 32, (8 2 0)
- d = 1.391 Å, 67.30°, I = 31, (8 4 0)
- d = 1.270 Å, 74.74°, I = 28, (8 4 4)

***

Entry 2:
The following is a theoretical powder diffractogram of Ni3B7IO13. It was derived from a GGA+U-relaxed structure, using a wavelength of 1.5418 Å.
Kinematic intensities with the Lorentz-polarization factor, no thermal factor.

Crystal structure
```
data_Ni3B7IO13
_cell_length_a 12.1577
_cell_length_b 12.1577
_cell_length_c 12.1577
_cell_angle_alpha 90.00
_cell_angle_beta 90.00
_cell_angle_gamma 90.00
_space_group_name_H-M_alt 'F -4 3 c'
_space_group_IT_number 219
_space_group_name_Hall 'F -4a 2 3'
loop_
_atom_site_label
_atom_site_type_symbol
_atom_site_fract_x
_atom_site_fract_y
_atom_site_fract_z
_atom_site_occupancy
Ni1 Ni 0.0000 0.0000 0.2500 1
B1 B 0.0000 0.2500 0.2500 1
B2 B 0.1697 0.1697 0.1697 1
I1 I 0.0000 0.0000 0.0000 1
O1 O 0.0698 0.1525 0.2312 1
O2 O 0.2500 0.2500 0.2500 1
```

Most intense lines, 15° ≤ 2θ ≤ 90°, low angle first:
- d = 3.039 Å, 29.39°, I = 100, (4 0 0)
- d = 2.719 Å, 32.95°, I = 97, (4 2 0)
- d = 2.149 Å, 42.04°, I = 63, (4 4 0)
- d = 2.026 Å, 44.72°, I = 24, (6 0 0)
- d = 1.755 Å, 52.12°, I = 30, (4 4 4)
- d = 1.474 Å, 63.05°, I = 30, (8 2 0)
- d = 1.359 Å, 69.10°, I = 32, (8 4 0)
- d = 1.241 Å, 76.82°, I = 28, (8 4 4)

***

Entry 3:
The following is a theoretical powder diffractogram of K2SrVB5O12. It was derived from a GGA+U-relaxed structure, using a wavelength of 1.5418 Å.
Kinematic intensities with the Lorentz-polarization factor, no thermal factor.

Crystal structure
```
data_K2SrVB5O12
_cell_length_a 6.7240
_cell_length_b 8.5745
_cell_length_c 10.0968
_cell_angle_alpha 90.00
_cell_angle_beta 99.81
_cell_angle_gamma 90.00
_space_group_name_H-M_alt 'P 1 21 1'
_space_group_IT_number 4
loop_
_space_group_symop_operation_xyz
'x,y,z'
'-x,y+1/2,-z'
loop_
_atom_site_label
_atom_site_type_symbol
_atom_site_fract_x
_atom_site_fract_y
_atom_site_fract_z
_atom_site_occupancy
K1 K 0.1012 0.0000 0.4035 1
K2 K 0.1671 0.4147 0.2590 1
Sr1 Sr 0.4281 0.5327 0.9719 1
V1 V 0.3409 0.7438 0.6924 1
B1 B 0.0197 0.2215 0.9060 1
B2 B 0.1218 0.9846 0.0702 1
B3 B 0.2804 0.2260 0.7437 1
B4 B 0.3401 0.7772 0.1994 1
B5 B 0.4769 0.2395 0.5639 1
O1 O 0.0440 0.3881 0.9572 1
O2 O 0.0950 0.2092 0.7774 1
O3 O 0.1305 0.8404 0.6243 1
O4 O 0.1409 0.1246 0.0093 1
O5 O 0.1948 0.6760 0.1169 1
O6 O 0.2699 0.5603 0.7302 1
O7 O 0.2903 0.9429 0.1639 1
O8 O 0.2916 0.2196 0.6065 1
O9 O 0.3479 0.7531 0.3455 1
O10 O 0.4554 0.2444 0.8376 1
O11 O 0.4557 0.8260 0.8429 1
O12 O 0.4718 0.2410 0.4275 1
```

Most intense lines, 15° ≤ 2θ ≤ 90°, low angle first:
- d = 3.937 Å, 22.58°, I = 38, (0 2 1)
- d = 3.317 Å, 26.88°, I = 48, (2 0 -1)
- d = 3.289 Å, 27.11°, I = 100, (1 2 1)
- d = 3.248 Å, 27.46°, I = 41, (0 2 2)
- d = 3.092 Å, 28.88°, I = 63, (2 1 0)
- d = 3.053 Å, 29.25°, I = 32, (1 2 -2)
- d = 2.834 Å, 31.57°, I = 29, (2 1 -2)
- d = 2.165 Å, 41.72°, I = 39, (3 1 -1)